(1)
# MgMn4Si8O22
Simulated X-ray diffraction stick pattern, Cu Kα. Input: DFT lattice parameters and positions (PBE+U).
Intensities are scaled so that the largest is 100.

Cell and atoms:
```
data_MgMn4Si8O22
_chemical_formula_sum 'Mg1 Mn4 Si8 O22'
_cell_length_a 7.2556
_cell_length_b 7.9025
_cell_length_c 8.9157
_cell_angle_alpha 98.64
_cell_angle_beta 105.40
_cell_angle_gamma 107.63
_space_group_name_H-M_alt 'P -1'
_space_group_IT_number 2
loop_
_space_group_symop_operation_xyz
'x,y,z'
'-x,-y,-z'
loop_
_atom_site_label
_atom_site_type_symbol
_atom_site_fract_x
_atom_site_fract_y
_atom_site_fract_z
Mg1 Mg 0.0000 0.0000 0.0000
Mn1 Mn 0.1191 0.4094 0.1398
Mn2 Mn 0.3533 0.6226 0.9022
Si1 Si 0.0356 0.7701 0.2851
Si2 Si 0.2463 0.3878 0.5404
Si3 Si 0.2544 0.0264 0.8617
Si4 Si 0.4699 0.7905 0.2939
O1 O 0.0333 0.0686 0.7924
O2 O 0.0333 0.2487 0.5600
O3 O 0.0786 0.4204 0.8654
O4 O 0.1536 0.8408 0.9187
O5 O 0.2014 0.4305 0.3692
O6 O 0.2820 0.8407 0.3301
O7 O 0.3388 0.5706 0.6905
O8 O 0.3707 0.1920 0.0277
O9 O 0.3766 0.6236 0.1272
O10 O 0.3816 0.0235 0.7394
O11 O 0.3971 0.2648 0.5597
```

Most intense lines, 5° ≤ 2θ ≤ 70°, by angle:
| 2θ (°) | I_rel | hkl |
| --- | --- | --- |
| 10.6 | 87 | 0 0 1 |
| 12.1 | 45 | 0 1 0 |
| 25.0 | 47 | 1 -2 1 |
| 27.1 | 35 | 1 -1 2 |
| 27.2 | 44 | 0 1 2 |
| 29.1 | 54 | 0 2 1 |
| 29.4 | 100 | 2 -2 0 |
| 31.6 | 46 | 2 1 -1 |
| 40.7 | 24 | 2 2 -1 |
| 50.7 | 23 | -4 1 1 |

(2)
# Ni5O4
Simulated X-ray diffraction stick pattern, Cu Kα. Input: DFT lattice parameters and positions (PBE+U).
Intensities are scaled so that the largest is 100.

Cell and atoms:
```
data_Ni5O4
_chemical_formula_sum 'Ni10 O8'
_cell_length_a 6.5933
_cell_length_b 6.5933
_cell_length_c 4.1090
_cell_angle_alpha 90.00
_cell_angle_beta 90.00
_cell_angle_gamma 90.00
_space_group_name_H-M_alt 'I 4/m'
_space_group_IT_number 87
_space_group_name_Hall '-I 4'
loop_
_atom_site_label
_atom_site_type_symbol
_atom_site_fract_x
_atom_site_fract_y
_atom_site_fract_z
Ni1 Ni 0.0000 0.0000 0.0000
Ni2 Ni 0.0953 0.7087 0.5000
O1 O 0.1023 0.6979 0.0000
```

Most intense lines, 5° ≤ 2θ ≤ 70°, by angle:
| 2θ (°) | I_rel | hkl |
| --- | --- | --- |
| 27.0 | 1 | 2 0 0 |
| 37.5 | 100 | 1 2 1 |
| 38.6 | 1 | 2 2 0 |
| 43.4 | 72 | 3 1 0 |
| 44.1 | 34 | 0 0 2 |
| 55.0 | 1 | 2 3 1 |
| 63.1 | 20 | 2 4 0 |
| 63.6 | 40 | 3 1 2 |

(3)
# Fe3OF5
Simulated X-ray diffraction stick pattern, Cu Kα. Input: DFT lattice parameters and positions (PBE+U).
Intensities are scaled so that the largest is 100.

Cell and atoms:
```
data_Fe3OF5
_chemical_formula_sum 'Fe12 O4 F20'
_cell_length_a 9.6711
_cell_length_b 6.9263
_cell_length_c 6.6875
_cell_angle_alpha 90.00
_cell_angle_beta 90.00
_cell_angle_gamma 90.00
_space_group_name_H-M_alt 'A m m 2'
_space_group_IT_number 38
loop_
_space_group_symop_operation_xyz
'x,y,z'
'-x,-y,z'
'-x,y,z'
'x,-y,z'
'x,y+1/2,z+1/2'
'-x,-y+1/2,z+1/2'
'-x,y+1/2,z+1/2'
'x,-y+1/2,z+1/2'
loop_
_atom_site_label
_atom_site_type_symbol
_atom_site_fract_x
_atom_site_fract_y
_atom_site_fract_z
Fe1 Fe 0.0000 0.0000 0.0000
Fe2 Fe 0.1623 0.0000 0.4531
Fe3 Fe 0.3245 0.0000 0.9780
Fe4 Fe 0.5000 0.0000 0.4758
O1 O 0.1569 0.0000 0.1662
F1 F 0.0000 0.2036 0.4693
F2 F 0.1514 0.0000 0.7596
F3 F 0.3274 0.1954 0.4716
F4 F 0.5000 0.0000 0.1730
F5 F 0.5000 0.0000 0.7791
```

Most intense lines, 5° ≤ 2θ ≤ 70°, by angle:
| 2θ (°) | I_rel | hkl |
| --- | --- | --- |
| 25.7 | 91 | 0 2 0 |
| 26.7 | 83 | 0 0 2 |
| 33.5 | 100 | 3 1 1 |
| 38.1 | 18 | 3 2 0 |
| 38.8 | 18 | 3 0 2 |
| 50.5 | 62 | 3 3 1 |
| 51.6 | 50 | 3 1 3 |
| 52.9 | 19 | 0 4 0 |
| 57.1 | 18 | 6 0 0 |
| 64.9 | 40 | 3 3 3 |